(1)
This entry pairs a crystal structure of Rb2CoI4 with its simulated X-ray powder pattern. Radiation: Cu Kα X-rays. Structure: a cell relaxed with GGA-PBE.

Main lines, in order of rising 2θ (15° ≤ 2θ ≤ 90°):
2theta, intensity
21.75, 139
24.98, 1000
25.07, 526
27.10, 181
27.34, 417
28.37, 749
32.96, 265
34.22, 251
41.76, 231
41.88, 186
44.30, 390
51.58, 244

Atomic structure:
```
14
Lattice="7.723 0.000 0.000 0.000 8.174 0.000 -3.514 0.000 9.873" Properties=species:S:1:pos:R:3 pbc="T T T"
Rb 1.399 2.043 0.360
Rb 0.260 2.043 5.791
Rb 3.949 6.130 4.082
Rb 2.809 6.130 9.512
Co -1.242 6.130 7.759
Co 5.450 2.043 2.114
I -0.837 4.092 2.744
I -0.837 8.169 2.744
I 2.630 6.130 0.454
I 0.937 6.130 6.368
I 3.272 2.043 3.504
I 1.579 2.043 9.419
I 5.046 0.005 7.129
I 5.046 4.082 7.129
```



(2)
This entry pairs a crystal structure of ZrH with its simulated X-ray powder pattern. Radiation: Cu Kα X-rays. Structure: a cell relaxed with GGA-PBE.

Main lines, in order of rising 2θ (15° ≤ 2θ ≤ 90°):
2theta, intensity
33.14, 1000
33.30, 977
36.48, 738
42.42, 242
52.31, 135
52.77, 132
57.16, 410
63.44, 287
63.74, 274
69.54, 108
69.93, 104
71.76, 197

Atomic structure:
```
16
Lattice="3.470 -3.498 0.000 3.470 3.498 0.000 0.000 0.000 8.523" Properties=species:S:1:pos:R:3 pbc="T T T"
Zr 0.000 0.000 0.000
Zr 0.000 0.000 4.261
Zr 1.813 1.749 6.392
Zr 5.127 1.749 6.392
Zr 3.470 0.000 0.000
Zr 3.470 0.000 4.261
Zr 1.813 -1.749 2.131
Zr 5.127 -1.749 2.131
H 1.735 0.000 1.073
H 1.735 0.000 5.335
H 3.470 1.749 1.069
H 3.470 1.749 3.192
H 3.470 -1.749 5.331
H 3.470 -1.749 7.453
H 5.204 0.000 3.188
H 5.204 0.000 7.449
```



(3)
This entry pairs a crystal structure of Cs2TaPdSe6 with its simulated X-ray powder pattern. Radiation: Cu Kα X-rays. Structure: a cell relaxed with GGA-PBE.

Main lines, in order of rising 2θ (15° ≤ 2θ ≤ 90°):
2theta, intensity
17.07, 195
23.83, 127
24.09, 237
24.38, 237
24.62, 116
30.12, 188
34.54, 1000
48.79, 121
49.34, 229
49.95, 233
50.49, 113
62.62, 116

Atomic structure:
```
10
Lattice="6.346 -3.615 0.000 6.346 3.615 0.000 -4.292 0.000 6.111" Properties=species:S:1:pos:R:3 pbc="T T T"
Cs 2.060 0.000 1.426
Cs 6.340 0.000 4.685
Ta -2.146 0.000 3.055
Pd 6.346 0.000 0.000
Se -0.061 0.000 4.552
Se 3.122 1.760 4.466
Se 5.277 1.760 1.644
Se 3.122 -1.760 4.466
Se 5.277 -1.760 1.644
Se 8.461 0.000 1.559
```



(4)
This entry pairs a crystal structure of Hf3Zr2Au2 with its simulated X-ray powder pattern. Radiation: Cu Kα X-rays. Structure: a cell relaxed with GGA-PBE.

Main lines, in order of rising 2θ (15° ≤ 2θ ≤ 90°):
2theta, intensity
22.66, 73
36.78, 1000
38.68, 17
43.63, 14
52.99, 171
54.44, 39
58.35, 13
66.24, 342
76.09, 12
78.24, 105
79.43, 14
89.73, 152

Atomic structure:
```
7
Lattice="2.444 1.411 6.984 -2.444 1.411 6.984 0.000 -2.822 6.984" Properties=species:S:1:pos:R:3 pbc="T T T"
Hf 0.000 0.000 0.000
Hf 0.000 0.000 5.777
Hf 0.000 0.000 14.716
Zr 0.000 0.000 8.895
Zr 0.000 0.000 17.840
Au 0.000 0.000 2.761
Au 0.000 0.000 11.993
```